Structure and theoretical PXRD pattern of LiIrN2 (a cell relaxed with PBE; λ = 1.5418 Å (Cu Kα)).
Peak positions follow from Bragg's law for the DFT cell and can differ from measured ones.

Main lines, by angle (5° ≤ 2θ ≤ 70°):
20.6°, rel. 55, (1 1 0)
21.4°, rel. 100, (0 1 1)
31.3°, rel. 33, (2 0 0)
33.5°, rel. 28, (0 0 2)
35.7°, rel. 88, (1 2 1)
61.4°, rel. 26, (1 2 3)

Structure:
Cell: 5.706 6.593 5.343 Å, 90.00 90.00 90.00°
Sites, in units of the cell vectors:
Li 0.091 0.127 0.000
Li 0.409 0.627 0.500
Li 0.591 0.373 0.000
Li 0.909 0.873 0.500
Ir 0.078 0.642 0.013
Ir 0.422 0.142 0.513
Ir 0.578 0.858 0.013
Ir 0.922 0.358 0.513
N 0.058 0.598 0.363
N 0.105 0.130 0.399
N 0.395 0.630 0.899
N 0.442 0.098 0.863
N 0.558 0.902 0.363
N 0.605 0.370 0.399
N 0.895 0.870 0.899
N 0.942 0.402 0.863